[1]
Nd4Si3Pt: simulated X-ray powder pattern (CuKα), based on a DFT-relaxed cell (GGA-PBE, Alexandria).
Intensities are scaled so that the largest is 100.

Structural model:
abc: 4.0338 4.3527 11.1483
angles: 90.00 90.00 90.00
Atoms (fractional coordinates):
Nd 0.0000 0.0000 0.0000
Nd 0.0000 0.5000 0.4927
Nd 0.5000 0.0000 0.2770
Nd 0.5000 0.5000 0.7783
Si 0.0000 0.0000 0.7013
Si 0.0000 0.5000 0.2087
Si 0.5000 0.0000 0.5659
Pt 0.5000 0.5000 0.0608

Main lines, low angle first (2θ from 5° to 70°):
7.9 deg, I 41
27.3 deg, I 26
31.3 deg, I 100
31.7 deg, I 47
32.1 deg, I 27
38.9 deg, I 47
39.3 deg, I 19
41.5 deg, I 24
44.9 deg, I 19
56.0 deg, I 19

[2]
NdSi2Pt5: simulated X-ray powder pattern (CuKα), based on a DFT-relaxed cell (GGA-PBE, Alexandria).
Intensities are scaled so that the largest is 100.

Structural model:
abc: 3.9670 7.0734 9.7446
angles: 90.00 90.00 90.00
Atoms (fractional coordinates):
Nd 0.0000 0.0000 0.0000
Nd 0.5000 0.5000 0.5000
Si 0.0000 0.5000 0.2466
Si 0.0000 0.5000 0.7534
Si 0.5000 0.0000 0.2534
Si 0.5000 0.0000 0.7466
Pt 0.0000 0.1993 0.3506
Pt 0.0000 0.1993 0.6494
Pt 0.0000 0.5000 0.0000
Pt 0.0000 0.8007 0.3506
Pt 0.0000 0.8007 0.6494
Pt 0.5000 0.0000 0.5000
Pt 0.5000 0.3007 0.1494
Pt 0.5000 0.3007 0.8506
Pt 0.5000 0.6993 0.1494
Pt 0.5000 0.6993 0.8506

Main lines, low angle first (2θ from 5° to 70°):
15.5 deg, I 24
31.3 deg, I 27
35.2 deg, I 91
35.7 deg, I 100
44.7 deg, I 26
45.2 deg, I 37
45.7 deg, I 30
47.7 deg, I 16
66.3 deg, I 24
68.2 deg, I 11

[3]
NdSi3Pt5: simulated X-ray powder pattern (CuKα), based on a DFT-relaxed cell (GGA-PBE, Alexandria).
Intensities are scaled so that the largest is 100.

Structural model:
abc: 6.5574 6.5574 12.8401
angles: 90.00 90.00 145.19
Atoms (fractional coordinates):
Nd 0.1563 0.8437 0.7500
Nd 0.8437 0.1563 0.2500
Si 0.1144 0.8856 0.2500
Si 0.3849 0.6151 0.0379
Si 0.3849 0.6151 0.4621
Si 0.6151 0.3849 0.5379
Si 0.6151 0.3849 0.9621
Si 0.8856 0.1144 0.7500
Pt 0.0000 0.0000 0.0000
Pt 0.0000 0.0000 0.5000
Pt 0.2086 0.7914 0.0831
Pt 0.2086 0.7914 0.4169
Pt 0.4541 0.5459 0.6462
Pt 0.4541 0.5459 0.8538
Pt 0.5459 0.4541 0.1462
Pt 0.5459 0.4541 0.3538
Pt 0.7914 0.2086 0.5831
Pt 0.7914 0.2086 0.9169

Main lines, low angle first (2θ from 5° to 70°):
25.2 deg, I 38
31.3 deg, I 41
31.8 deg, I 100
32.1 deg, I 48
34.4 deg, I 30
36.9 deg, I 74
37.9 deg, I 38
44.8 deg, I 49
46.3 deg, I 48
66.4 deg, I 31

[4]
NdSi4Pt4: simulated X-ray powder pattern (CuKα), based on a DFT-relaxed cell (GGA-PBE, Alexandria).
Intensities are scaled so that the largest is 100.

Structural model:
abc: 6.1863 6.1863 8.0433
angles: 90.00 90.00 90.00
Atoms (fractional coordinates):
Nd 0.2500 0.7500 0.2500
Nd 0.7500 0.2500 0.7500
Si 0.0359 0.2500 0.0757
Si 0.2500 0.0359 0.5757
Si 0.2500 0.4641 0.5757
Si 0.4641 0.2500 0.0757
Si 0.5359 0.7500 0.9243
Si 0.7500 0.5359 0.4243
Si 0.7500 0.9641 0.4243
Si 0.9641 0.7500 0.9243
Pt 0.0259 0.2500 0.3784
Pt 0.2500 0.0259 0.8784
Pt 0.2500 0.4741 0.8784
Pt 0.4741 0.2500 0.3784
Pt 0.5259 0.7500 0.6216
Pt 0.7500 0.5259 0.1216
Pt 0.7500 0.9741 0.1216
Pt 0.9741 0.7500 0.6216

Main lines, low angle first (2θ from 5° to 70°):
26.4 deg, I 66
31.0 deg, I 57
34.3 deg, I 100
36.5 deg, I 35
39.5 deg, I 23
41.3 deg, I 32
44.7 deg, I 28
56.3 deg, I 24
58.5 deg, I 25
62.8 deg, I 33

[5]
Nd2Si12Pt7: simulated X-ray powder pattern (CuKα), based on a DFT-relaxed cell (GGA-PBE, Alexandria).
Intensities are scaled so that the largest is 100.

Structural model:
abc: 10.0304 10.0304 4.0353
angles: 90.00 90.00 120.00
Atoms (fractional coordinates):
Nd 0.3333 0.6667 0.2281
Nd 0.6667 0.3333 0.7719
Si 0.0663 0.4384 0.7656
Si 0.1224 0.2644 0.2265
Si 0.1420 0.8776 0.2265
Si 0.2644 0.1420 0.7735
Si 0.3721 0.9337 0.7656
Si 0.4384 0.3721 0.2344
Si 0.5616 0.6279 0.7656
Si 0.6279 0.0663 0.2344
Si 0.7356 0.8580 0.2265
Si 0.8580 0.1224 0.7735
Si 0.8776 0.7356 0.7735
Si 0.9337 0.5616 0.2344
Pt 0.0000 0.0000 0.0000
Pt 0.1025 0.7012 0.7121
Pt 0.2988 0.4014 0.7121
Pt 0.4014 0.1025 0.2879
Pt 0.5986 0.8975 0.7121
Pt 0.7012 0.5986 0.2879
Pt 0.8975 0.2988 0.2879

Main lines, low angle first (2θ from 5° to 70°):
27.2 deg, I 100
28.4 deg, I 86
30.2 deg, I 73
30.9 deg, I 40
35.2 deg, I 91
43.8 deg, I 31
47.5 deg, I 26
48.0 deg, I 47
51.1 deg, I 55
53.3 deg, I 21

[6]
NdSi3Pt2: simulated X-ray powder pattern (CuKα), based on a DFT-relaxed cell (GGA-PBE, Alexandria).
Intensities are scaled so that the largest is 100.

Structural model:
abc: 7.8672 7.8672 7.2974
angles: 106.39 106.39 30.62
Atoms (fractional coordinates):
Nd 0.1448 0.1448 0.1011
Nd 0.8552 0.8552 0.8989
Si 0.0220 0.0220 0.6647
Si 0.3354 0.3354 0.5614
Si 0.3530 0.3530 0.2173
Si 0.6470 0.6470 0.7827
Si 0.6646 0.6646 0.4386
Si 0.9780 0.9780 0.3353
Pt 0.1922 0.1922 0.6591
Pt 0.4910 0.4910 0.8016
Pt 0.5090 0.5090 0.1984
Pt 0.8078 0.8078 0.3409

Main lines, low angle first (2θ from 5° to 70°):
24.8 deg, I 17
25.5 deg, I 17
28.3 deg, I 100
29.9 deg, I 36
31.5 deg, I 30
32.7 deg, I 80
36.9 deg, I 30
37.2 deg, I 31
43.6 deg, I 36
49.2 deg, I 20

[7]
Nd2Si3Pt9: simulated X-ray powder pattern (CuKα), based on a DFT-relaxed cell (GGA-PBE, Alexandria).
Intensities are scaled so that the largest is 100.

Structural model:
abc: 7.7448 7.7448 10.2205
angles: 112.89 112.89 59.71
Atoms (fractional coordinates):
Nd 0.0865 0.2570 0.2492
Nd 0.2570 0.0865 0.7492
Nd 0.7430 0.9135 0.2508
Nd 0.9135 0.7430 0.7508
Si 0.0000 0.5000 0.0000
Si 0.1436 0.6794 0.5020
Si 0.3206 0.8564 0.9980
Si 0.5000 0.0000 0.5000
Si 0.6794 0.1436 0.0020
Si 0.8564 0.3206 0.4980
Pt 0.0155 0.8620 0.0759
Pt 0.1380 0.9845 0.4241
Pt 0.1933 0.3592 0.5720
Pt 0.2037 0.5845 0.2597
Pt 0.3063 0.4887 0.9434
Pt 0.3592 0.1933 0.0720
Pt 0.3606 0.6394 0.7500
Pt 0.4155 0.7963 0.2403
Pt 0.4887 0.3063 0.4434
Pt 0.5113 0.6937 0.5566
Pt 0.5845 0.2037 0.7597
Pt 0.6394 0.3606 0.2500
Pt 0.6408 0.8067 0.9280
Pt 0.6937 0.5113 0.0566
Pt 0.7963 0.4155 0.7403
Pt 0.8067 0.6408 0.4280
Pt 0.8620 0.0155 0.5759
Pt 0.9845 0.1380 0.9241

Main lines, low angle first (2θ from 5° to 70°):
30.1 deg, I 22
30.4 deg, I 34
35.7 deg, I 27
36.1 deg, I 21
37.4 deg, I 77
37.7 deg, I 100
37.8 deg, I 80
40.3 deg, I 46
40.5 deg, I 92
42.7 deg, I 20

[8]
NdTm2Si2Pt7: simulated X-ray powder pattern (CuKα), based on a DFT-relaxed cell (GGA-PBE, Alexandria).
Intensities are scaled so that the largest is 100.

Structural model:
abc: 4.0530 4.0530 13.8443
angles: 96.52 96.52 89.31
Atoms (fractional coordinates):
Nd 0.0000 0.0000 0.0000
Tm 0.1226 0.1226 0.3594
Tm 0.8774 0.8774 0.6406
Si 0.3966 0.3966 0.7373
Si 0.6034 0.6034 0.2627
Pt 0.0675 0.5668 0.1690
Pt 0.3594 0.3594 0.5687
Pt 0.4332 0.9325 0.8310
Pt 0.5000 0.5000 0.0000
Pt 0.5668 0.0675 0.1690
Pt 0.6406 0.6406 0.4313
Pt 0.9325 0.4332 0.8310

Main lines, low angle first (2θ from 5° to 70°):
6.5 deg, I 32
32.1 deg, I 46
32.8 deg, I 46
34.1 deg, I 55
34.4 deg, I 68
36.1 deg, I 87
36.4 deg, I 26
37.2 deg, I 100
44.8 deg, I 92
64.8 deg, I 24

Q: Which formula does entry 7 have?
A: Nd2Si3Pt9

What did the third record say?
NdSi3Pt5: simulated X-ray powder pattern (CuKα), based on a DFT-relaxed cell (GGA-PBE, Alexandria).
Intensities are scaled so that the largest is 100.

Structural model:
abc: 6.5574 6.5574 12.8401
angles: 90.00 90.00 145.19
Atoms (fractional coordinates):
Nd 0.1563 0.8437 0.7500
Nd 0.8437 0.1563 0.2500
Si 0.1144 0.8856 0.2500
Si 0.3849 0.6151 0.0379
Si 0.3849 0.6151 0.4621
Si 0.6151 0.3849 0.5379
Si 0.6151 0.3849 0.9621
Si 0.8856 0.1144 0.7500
Pt 0.0000 0.0000 0.0000
Pt 0.0000 0.0000 0.5000
Pt 0.2086 0.7914 0.0831
Pt 0.2086 0.7914 0.4169
Pt 0.4541 0.5459 0.6462
Pt 0.4541 0.5459 0.8538
Pt 0.5459 0.4541 0.1462
Pt 0.5459 0.4541 0.3538
Pt 0.7914 0.2086 0.5831
Pt 0.7914 0.2086 0.9169

Main lines, low angle first (2θ from 5° to 70°):
25.2 deg, I 38
31.3 deg, I 41
31.8 deg, I 100
32.1 deg, I 48
34.4 deg, I 30
36.9 deg, I 74
37.9 deg, I 38
44.8 deg, I 49
46.3 deg, I 48
66.4 deg, I 31